Diffraction record for HgBrCl. The XRD peak list is simulated, not measured: it uses a structure optimized by DFT (GGA-PBE) and a wavelength of 1.5418 Å.
No peak broadening, texture or thermal motion is included.

Structural model:
Unit cell a=4.197 b=7.653 c=13.304 alpha=90.00 beta=90.00 gamma=90.00
Space group P2_12_12_1 (No. 19)
Inequivalent atoms, fractional coordinates:
Hg: 0.105 0.126 0.367 [4 per cell]
Br: 0.240 0.283 0.769 [4 per cell]
Cl: 0.049 0.971 0.995 [4 per cell]

Largest 10 diffraction maxima, sorted by position, 2θ from 10° to 90°:
2θ (°)  intensity
13.34  94
17.67  91
22.21  35
24.20  92
25.09  51
27.70  44
31.60  100
37.74  30
41.92  64
42.00  31